Diffraction record for SnBPd3. The X-ray diffraction stick pattern is computed, not measured: it uses a structure optimized by DFT (GGA-PBE) and Cu Kα (weighted mean of Kα1 and Kα2).

Principal peaks in the range 2θ = 10–90°, low angle first:
- 2θ = 34.2°, d = 2.624 Å, intensity 170
- 2θ = 36.7°, d = 2.450 Å, intensity 1000
- 2θ = 39.9°, d = 2.261 Å, intensity 220
- 2θ = 40.5°, d = 2.227 Å, intensity 276
- 2θ = 43.6°, d = 2.075 Å, intensity 261
- 2θ = 54.0°, d = 1.698 Å, intensity 90
- 2θ = 61.0°, d = 1.518 Å, intensity 192
- 2θ = 69.3°, d = 1.356 Å, intensity 84
- 2θ = 71.2°, d = 1.325 Å, intensity 144
- 2θ = 75.5°, d = 1.259 Å, intensity 90

Unit cell a=5.8683 b=5.8683 c=4.4543 alpha=90.00 beta=90.00 gamma=90.00
Space group P4/mbm (No. 127)
One atom of each set of equivalent atoms:
Sn 0.0000 0.5000 0.0000
B 0.0000 0.0000 0.5000
Pd 0.0000 0.0000 0.0000
Pd 0.1881 0.3119 0.5000